The following is a computed X-ray powder pattern of Tm4Tl3Rh. It was derived from a PBE-relaxed structure, using λ = 1.5418 Å (Cu Kα).
Kinematic intensities with the Lorentz-polarization factor, no thermal factor.

Cell and atoms:
a = 3.5202 Å, b = 3.5202 Å, c = 15.8925 Å
α = 90.00°, β = 90.00°, γ = 90.00°
Space group P4/mmm (No. 123)
Unique sites:
Tm: 0.0000 0.0000 0.1012 (multiplicity 2)
Tm: 0.0000 0.0000 0.3676 (multiplicity 2)
Tl: 0.5000 0.5000 0.2379 (multiplicity 2)
Tl: 0.5000 0.5000 0.5000 (multiplicity 1)
Rh: 0.5000 0.5000 0.0000 (multiplicity 1)

The 12 most intense peaks (10° ≤ 2θ ≤ 90°), sorted by position:
(1 0 3), 30.49 deg, intensity 9; (1 0 4), 34.03 deg, intensity 100; (1 1 0), 36.08 deg, intensity 48; (0 0 8), 45.67 deg, intensity 8; (2 0 0), 51.95 deg, intensity 17; (1 1 7), 54.72 deg, intensity 7; (1 1 8), 59.54 deg, intensity 14; (2 1 4), 63.57 deg, intensity 33; (1 0 11), 70.45 deg, intensity 7; (2 0 8), 71.63 deg, intensity 8; (3 0 4), 86.48 deg, intensity 7; (3 1 0), 87.66 deg, intensity 8